Entry 1:
Diffraction record for Rb2PrAgF6. The powder diffractogram is calculated, not measured: it uses the PBE geometry in the Materials Project and Cu Kα, 1.54184 Å.
Intensities are scaled so that the largest is 100.

Most intense lines, 2θ from 10° to 90°, by intensity:
2θ (°)	Rel. int.
26.5	100.0
46.8	42.3
37.8	38.1
54.6	24.5
74.7	21.6
61.7	18.8
18.7	11.8
86.9	11.2
68.3	7.9
42.5	5.3

Atomic structure:
Lattice parameters (Å, degrees): 9.5124 9.5124 9.5124 90.00 90.00 90.00
Space group Fm-3m (No. 225)
Unique sites:
Rb: 0.2500 0.2500 0.2500 (multiplicity 8)
Pr: 0.0000 0.0000 0.0000 (multiplicity 4)
Ag: 0.0000 0.0000 0.5000 (multiplicity 4)
F: 0.0000 0.0000 0.2411 (multiplicity 24)

=====

Entry 2:
Diffraction record for Rb2ScAgF6. The powder diffractogram is calculated, not measured: it uses the PBE geometry in the Materials Project and Cu Kα, 1.54184 Å.
Intensities are scaled so that the largest is 100.

Most intense lines, 2θ from 10° to 90°, by intensity:
2θ (°)	Rel. int.
28.1	100.0
40.1	41.9
49.7	38.5
58.1	24.9
79.9	20.8
65.7	18.5
33.1	8.0
72.9	7.8
34.6	7.5
43.9	6.1

Atomic structure:
Lattice parameters (Å, degrees): 8.9860 8.9860 8.9860 90.00 90.00 90.00
Space group Fm-3m (No. 225)
Unique sites:
Rb: 0.2500 0.2500 0.2500 (multiplicity 8)
Sc: 0.0000 0.0000 0.0000 (multiplicity 4)
Ag: 0.0000 0.0000 0.5000 (multiplicity 4)
F: 0.0000 0.0000 0.2265 (multiplicity 24)

=====

Entry 3:
Diffraction record for Rb2TaAgF6. The powder diffractogram is calculated, not measured: it uses the PBE geometry in the Materials Project and Cu Kα, 1.54184 Å.
Intensities are scaled so that the largest is 100.

Most intense lines, 2θ from 10° to 90°, by intensity:
2θ (°)	Rel. int.
24.4	100.0
42.9	37.0
34.8	29.4
56.4	24.2
68.0	23.8
50.0	17.4
17.2	16.6
14.9	13.5
78.7	11.0
89.0	7.1

Atomic structure:
Lattice parameters (Å, degrees): 10.3178 10.3178 10.3178 90.00 90.00 90.00
Space group Fm-3m (No. 225)
Unique sites:
Rb: 0.2500 0.2500 0.2500 (multiplicity 8)
Ta: 0.0000 0.0000 0.0000 (multiplicity 4)
Ag: 0.0000 0.0000 0.5000 (multiplicity 4)
F: 0.0000 0.0000 0.1868 (multiplicity 24)

=====

Entry 4:
Diffraction record for Rb2TlAgF6. The powder diffractogram is calculated, not measured: it uses the PBE geometry in the Materials Project and Cu Kα, 1.54184 Å.
Intensities are scaled so that the largest is 100.

Most intense lines, 2θ from 10° to 90°, by intensity:
2θ (°)	Rel. int.
27.4	100.0
48.4	42.2
39.1	35.1
56.5	22.5
77.5	21.8
19.3	18.9
63.8	18.8
16.7	9.2
43.9	8.8
70.8	7.3

Atomic structure:
Lattice parameters (Å, degrees): 9.2208 9.2208 9.2208 90.00 90.00 90.00
Space group Fm-3m (No. 225)
Unique sites:
Rb: 0.2500 0.2500 0.2500 (multiplicity 8)
Tl: 0.0000 0.0000 0.0000 (multiplicity 4)
Ag: 0.0000 0.0000 0.5000 (multiplicity 4)
F: 0.0000 0.0000 0.2401 (multiplicity 24)

=====

Entry 5:
Diffraction record for Rb2YAgF6. The powder diffractogram is calculated, not measured: it uses the PBE geometry in the Materials Project and Cu Kα, 1.54184 Å.
Intensities are scaled so that the largest is 100.

Most intense lines, 2θ from 10° to 90°, by intensity:
2θ (°)	Rel. int.
27.2	100.0
48.1	40.7
38.8	40.2
56.1	25.0
76.9	21.0
63.4	18.4
89.7	10.9
70.3	7.9
19.1	5.7
83.3	3.6

Atomic structure:
Lattice parameters (Å, degrees): 9.2761 9.2761 9.2761 90.00 90.00 90.00
Space group Fm-3m (No. 225)
Unique sites:
Rb: 0.2500 0.2500 0.2500 (multiplicity 8)
Y: 0.0000 0.0000 0.0000 (multiplicity 4)
Ag: 0.0000 0.0000 0.5000 (multiplicity 4)
F: 0.0000 0.0000 0.2352 (multiplicity 24)

=====

Entry 6:
Diffraction record for AgRhF6. The powder diffractogram is calculated, not measured: it uses the PBE geometry in the Materials Project and Cu Kα, 1.54184 Å.
Intensities are scaled so that the largest is 100.

Most intense lines, 2θ from 10° to 90°, by intensity:
2θ (°)	Rel. int.
22.8	100.0
23.0	49.4
30.9	40.5
50.3	24.9
31.0	20.1
34.1	17.7
41.4	16.2
54.6	12.0
61.2	10.5
50.7	9.1

Atomic structure:
Lattice parameters (Å, degrees): 5.2369 5.2595 10.4096 75.71 75.78 60.20
Space group P-1 (No. 2)
Unique sites:
Ag: 0.0000 0.0000 0.0000 (multiplicity 1)
Ag: 0.5000 0.5000 0.5000 (multiplicity 1)
Rh: 0.2268 0.2659 0.2497 (multiplicity 2)
F: 0.0367 0.6972 0.8636 (multiplicity 2)
F: 0.1098 0.4695 0.6384 (multiplicity 2)
F: 0.1924 0.9290 0.3633 (multiplicity 2)
F: 0.2668 0.6024 0.1393 (multiplicity 2)
F: 0.4363 0.9914 0.8637 (multiplicity 2)
F: 0.4908 0.2284 0.3628 (multiplicity 2)

=====

Entry 7:
Diffraction record for SrAgSF. The powder diffractogram is calculated, not measured: it uses the PBE geometry in the Materials Project and Cu Kα, 1.54184 Å.
Intensities are scaled so that the largest is 100.

Most intense lines, 2θ from 10° to 90°, by intensity:
2θ (°)	Rel. int.
36.7	100.0
32.3	63.9
29.2	53.9
44.1	49.8
53.8	38.6
50.9	36.7
29.3	27.1
76.2	20.5
19.4	18.3
86.1	15.4

Atomic structure:
Lattice parameters (Å, degrees): 4.1086 4.1086 9.1301 90.00 90.00 90.00
Space group P4/nmm (No. 129, origin choice 2)
Unique sites:
Sr: 0.2500 0.2500 0.1561 (multiplicity 2)
Ag: 0.2500 0.7500 0.5000 (multiplicity 2)
S: 0.2500 0.2500 0.6917 (multiplicity 2)
F: 0.2500 0.7500 0.0000 (multiplicity 2)

=====

Entry 8:
Diffraction record for AgSbF6. The powder diffractogram is calculated, not measured: it uses the PBE geometry in the Materials Project and Cu Kα, 1.54184 Å.
Intensities are scaled so that the largest is 100.

Most intense lines, 2θ from 10° to 90°, by intensity:
2θ (°)	Rel. int.
25.2	100.0
44.4	44.9
70.5	20.6
58.4	19.9
51.7	17.8
81.8	10.3
35.9	9.4
87.2	6.5
64.6	4.6
17.7	2.7

Atomic structure:
Lattice parameters (Å, degrees): 9.9945 9.9945 9.9945 90.00 90.00 90.00
Space group Ia-3 (No. 206)
Unique sites:
Ag: 0.2500 0.2500 0.2500 (multiplicity 8)
Sb: 0.0000 0.0000 0.0000 (multiplicity 8)
F: 0.0624 0.1156 0.6410 (multiplicity 48)

=====

Entry 9:
Diffraction record for AgSnF6. The powder diffractogram is calculated, not measured: it uses the PBE geometry in the Materials Project and Cu Kα, 1.54184 Å.
Intensities are scaled so that the largest is 100.

Most intense lines, 2θ from 10° to 90°, by intensity:
2θ (°)	Rel. int.
21.3	100.0
22.8	82.4
22.9	80.9
29.8	37.0
30.3	30.9
31.4	29.8
40.4	25.3
32.6	20.5
50.9	18.9
48.0	17.4

Atomic structure:
Lattice parameters (Å, degrees): 5.3297 5.4673 5.7471 64.10 89.46 61.46
Space group P-1 (No. 2)
Unique sites:
Ag: 0.0000 0.0000 0.0000 (multiplicity 1)
Sn: 0.5000 0.0000 0.5000 (multiplicity 1)
F: 0.1295 0.1284 0.2615 (multiplicity 2)
F: 0.2549 0.1440 0.7396 (multiplicity 2)
F: 0.4223 0.4335 0.2802 (multiplicity 2)

=====

Entry 10:
Diffraction record for Ta2AgF12. The powder diffractogram is calculated, not measured: it uses the PBE geometry in the Materials Project and Cu Kα, 1.54184 Å.
Intensities are scaled so that the largest is 100.

Most intense lines, 2θ from 10° to 90°, by intensity:
2θ (°)	Rel. int.
22.8	100.0
21.7	95.1
23.1	82.6
18.1	47.5
30.0	35.5
19.6	35.1
20.2	35.0
20.0	33.5
31.1	31.9
31.6	29.7

Atomic structure:
Lattice parameters (Å, degrees): 5.3969 5.6888 9.3759 76.16 88.01 63.00
Space group P-1 (No. 2)
Unique sites:
Ta: 0.2227 0.0109 0.2295 (multiplicity 2)
Ag: 0.0000 0.5000 0.5000 (multiplicity 1)
F: 0.1661 0.7714 0.7765 (multiplicity 2)
F: 0.1851 0.7635 0.4180 (multiplicity 2)
F: 0.1984 0.7745 0.1287 (multiplicity 2)
F: 0.2461 0.2287 0.3667 (multiplicity 2)
F: 0.2805 0.2330 0.0646 (multiplicity 2)
F: 0.3839 0.2058 0.7098 (multiplicity 2)

=====

Entry 11:
Diffraction record for TiAgF6. The powder diffractogram is calculated, not measured: it uses the PBE geometry in the Materials Project and Cu Kα, 1.54184 Å.
Intensities are scaled so that the largest is 100.

Most intense lines, 2θ from 10° to 90°, by intensity:
2θ (°)	Rel. int.
21.5	100.0
23.1	81.1
23.3	80.1
30.7	30.2
32.9	25.7
30.9	23.4
36.7	21.7
32.0	21.5
40.6	18.0
60.2	17.4

Atomic structure:
Lattice parameters (Å, degrees): 5.2629 5.4579 5.6168 63.42 89.59 61.30
Space group P-1 (No. 2)
Unique sites:
Ti: 0.0000 0.0000 0.0000 (multiplicity 1)
Ag: 0.5000 0.0000 0.5000 (multiplicity 1)
F: 0.0769 0.5858 0.2091 (multiplicity 2)
F: 0.2431 0.8682 0.7726 (multiplicity 2)
F: 0.3493 0.8761 0.2412 (multiplicity 2)